Record 1
For K2NaAlAs2, a DFT-relaxed cell (PBE, the Materials Project) gives the computed powder diffractogram in this record (a wavelength of 1.5418 Å).

Atomic structure:
```
12
Lattice="-3.405 7.564 3.264 3.405 -7.564 3.264 3.405 7.564 -3.264" Properties=species:S:1:pos:R:3 pbc="T T T"
K 1.644 2.645 0.000
K 1.644 -2.645 3.264
K 1.761 10.209 0.000
K 1.761 4.919 3.264
Na 0.000 0.000 1.632
Na 0.000 0.000 4.897
Al 3.405 0.000 1.632
Al 0.000 7.564 1.632
As 4.770 1.426 0.000
As 1.365 6.138 0.000
As 2.040 1.426 3.264
As -1.365 6.138 3.264
```

The 8 most intense peaks (10 to 80 degrees two-theta), in order of falling intensity:
- 2θ 30.30, rel. 100.0
- 2θ 38.19, rel. 53.3
- 2θ 27.32, rel. 34.5
- 2θ 36.36, rel. 32.7
- 2θ 22.22, rel. 31.3
- 2θ 11.70, rel. 28.2
- 2θ 35.47, rel. 27.6
- 2θ 26.17, rel. 27.3

Record 2
For Dy3Co2Ge4, a DFT-relaxed cell (PBE, the Materials Project) gives the computed powder diffractogram in this record (a wavelength of 1.5418 Å).

Atomic structure:
```
9
Lattice="5.308 -2.090 0.000 5.308 2.090 0.000 -2.434 0.000 7.628" Properties=species:S:1:pos:R:3 pbc="T T T"
Dy 0.000 0.000 0.000
Dy 3.250 0.000 2.340
Dy 4.930 0.000 5.288
Co 1.751 0.000 4.794
Co 6.429 0.000 2.834
Ge 0.069 0.000 3.053
Ge 0.837 0.000 7.022
Ge 7.343 0.000 0.607
Ge 8.112 0.000 4.575
```

The 8 most intense peaks (10 to 80 degrees two-theta), in order of falling intensity:
- 2θ 43.29, rel. 100.0
- 2θ 34.92, rel. 81.9
- 2θ 34.17, rel. 76.5
- 2θ 33.38, rel. 74.2
- 2θ 24.59, rel. 41.3
- 2θ 35.30, rel. 40.0
- 2θ 34.32, rel. 33.4
- 2θ 73.97, rel. 24.7

Record 3
For MoS2, a DFT-relaxed cell (PBE, the Materials Project) gives the computed powder diffractogram in this record (a wavelength of 1.5418 Å).

Atomic structure:
```
6
Lattice="3.190 0.000 0.000 -1.595 2.763 0.000 0.000 0.000 24.879" Properties=species:S:1:pos:R:3 pbc="T T T"
Mo 0.000 1.842 8.720
Mo 1.595 0.921 16.159
S 0.000 1.842 14.594
S 0.000 1.842 17.724
S 1.595 0.921 7.155
S 1.595 0.921 10.285
```

The 8 most intense peaks (10 to 80 degrees two-theta), in order of falling intensity:
- 2θ 10.67, rel. 100.0
- 2θ 14.24, rel. 23.6
- 2θ 37.22, rel. 23.5
- 2θ 43.83, rel. 22.2
- 2θ 46.47, rel. 13.4
- 2θ 39.18, rel. 10.8
- 2θ 32.40, rel. 10.4
- 2θ 34.21, rel. 9.9